Record 1
Diffraction record for Sc3Pd2. The powder XRD pattern is simulated, not measured: it uses a crystal structure in Alexandria, relaxed with GGA-PBE and λ = 1.5418 Å (Cu Kα).
No peak broadening, texture or thermal motion is included.

Cell and atoms:
```
Sc3Pd2
1.0
7.3497 0.0000 0.0000
0.0000 7.3497 0.0000
0.0000 0.0000 3.7067
Sc Pd
6 4
Cartesian
0.0000 0.0000 0.0000
1.1932 2.4816 1.8534
2.4816 6.1565 1.8534
3.6748 3.6748 0.0000
4.8680 1.1932 1.8534
6.1565 4.8680 1.8534
1.0083 4.6831 0.0000
2.6666 1.0083 0.0000
4.6831 6.3414 0.0000
6.3414 2.6666 0.0000
```

Principal peaks in the range 10 to 90 degrees two-theta, low angle first:
two_theta	d (Å)	I (rel.)
17.06	5.197	162
24.01	3.707	209
27.13	3.287	183
36.54	2.459	1000
38.74	2.324	354
46.10	1.969	135
49.16	1.853	119
51.14	1.786	101
64.28	1.449	147
74.02	1.281	161

Record 2
Diffraction record for Mg5Si9. The powder XRD pattern is simulated, not measured: it uses a crystal structure in Alexandria, relaxed with GGA-PBE and λ = 1.5418 Å (Cu Kα).
No peak broadening, texture or thermal motion is included.

Cell and atoms:
```
Mg5Si9
1.0
6.4785 0.0000 0.0000
-2.4982 6.3542 0.0000
-0.5443 -3.8091 12.7807
Mg Si
10 18
Cartesian
0.0000 0.0000 0.0000
-0.1610 -1.9025 6.5637
-0.7567 0.9548 5.6098
-0.9359 1.6216 10.4834
0.6796 -1.4739 9.8461
-0.1404 4.7035 1.9449
1.2619 1.7691 2.3782
0.0975 3.3397 7.6889
2.4165 1.3369 6.2825
4.1692 -0.2769 8.5422
-1.0512 2.4019 0.8729
-0.5553 3.5838 4.9607
1.3903 -0.4864 4.3966
0.4613 0.5581 8.0623
1.7764 -2.5929 12.2944
1.8185 3.5599 0.1300
3.3101 -2.4725 10.3532
1.7662 4.1110 4.0012
1.8706 1.7817 9.5956
4.0024 0.4393 1.0128
3.7940 -1.0445 5.9928
3.7399 0.2123 3.4441
2.8560 0.4789 11.3123
3.5938 3.6102 1.8254
3.7035 2.6174 4.0242
3.8349 2.4870 8.4366
4.8504 -0.9324 11.3136
6.1346 -0.5112 2.7318
```

Principal peaks in the range 10 to 90 degrees two-theta, low angle first:
two_theta	d (Å)	I (rel.)
32.87	2.725	701
34.44	2.604	634
35.03	2.561	845
36.13	2.486	1000
36.65	2.452	833
36.97	2.431	699
38.02	2.367	937
38.13	2.360	759
40.38	2.234	617
41.05	2.199	805

Record 3
Diffraction record for Tm8Ni2Te. The powder XRD pattern is simulated, not measured: it uses a crystal structure in Alexandria, relaxed with GGA-PBE and λ = 1.5418 Å (Cu Kα).
No peak broadening, texture or thermal motion is included.

Cell and atoms:
```
Tm8Ni2Te
1.0
4.1880 -6.3838 0.0000
4.1880 6.3838 0.0000
-1.2766 0.0000 5.3886
Tm Ni Te
8 2 1
Cartesian
0.9790 1.6763 3.2237
4.1880 3.2051 0.0000
0.9790 -1.6763 3.2237
3.0508 0.0000 1.1033
4.0487 0.0000 4.2853
6.1205 1.6763 2.1648
4.1880 -3.2051 0.0000
6.1205 -1.6763 2.1648
3.5498 2.5157 2.6943
3.5498 -2.5157 2.6943
0.0000 0.0000 0.0000
```

Principal peaks in the range 10 to 90 degrees two-theta, low angle first:
two_theta	d (Å)	I (rel.)
27.37	3.258	345
30.39	2.942	1000
32.61	2.746	865
33.27	2.693	653
34.09	2.630	616
35.73	2.513	791
39.35	2.290	247
46.80	1.941	281
53.27	1.720	235
66.68	1.403	232

Record 4
Diffraction record for Sm6Bi5Pb. The powder XRD pattern is simulated, not measured: it uses a crystal structure in Alexandria, relaxed with GGA-PBE and λ = 1.5418 Å (Cu Kα).
No peak broadening, texture or thermal motion is included.

Cell and atoms:
```
Sm6Bi5Pb
1.0
3.9450 -6.8365 0.0000
3.9450 6.8365 0.0000
-2.6333 0.0000 7.4203
Sm Bi Pb
6 5 1
Cartesian
-0.0057 2.2758 5.5544
1.3087 0.0000 1.8559
-0.0057 -2.2758 5.5544
5.2625 2.2758 1.8659
3.9481 0.0000 5.5644
5.2625 -2.2758 1.8659
3.9450 4.5426 0.0000
2.6284 2.2740 3.7101
3.9450 0.0000 0.0000
2.6284 -2.2740 3.7101
3.9450 -4.5426 0.0000
-1.3166 0.0000 3.7101
```

Principal peaks in the range 10 to 90 degrees two-theta, low angle first:
two_theta	d (Å)	I (rel.)
27.71	3.219	1000
39.59	2.276	785
48.98	1.860	215
49.11	1.855	71
57.24	1.609	136
64.71	1.441	189
64.81	1.439	188
71.79	1.315	210
71.96	1.312	70
85.18	1.139	46

Record 5
Diffraction record for Th3Si8Os3. The powder XRD pattern is simulated, not measured: it uses a crystal structure in Alexandria, relaxed with GGA-PBE and λ = 1.5418 Å (Cu Kα).
No peak broadening, texture or thermal motion is included.

Cell and atoms:
```
Th3Si8Os3
1.0
-2.0932 5.0646 5.8182
2.0932 -5.0646 5.8182
2.0932 5.0646 -5.8182
Th Si Os
3 8 3
Cartesian
0.0000 0.0000 0.0000
0.0000 0.0000 3.6218
0.0000 0.0000 8.0145
2.0932 -1.3924 1.9003
2.0932 -2.1683 4.4153
2.0932 1.3924 1.9003
0.0000 2.8963 1.4029
2.0932 2.1683 4.4153
0.0000 3.6722 3.9179
0.0000 7.2329 1.4029
0.0000 6.4570 3.9179
2.0932 2.9001 0.0000
0.0000 5.0646 0.0000
0.0000 2.1646 5.8182
```

Principal peaks in the range 10 to 90 degrees two-theta, low angle first:
two_theta	d (Å)	I (rel.)
11.58	7.640	190
15.23	5.818	238
17.51	5.065	152
22.99	3.869	230
28.71	3.109	329
35.24	2.547	200
35.45	2.532	201
36.21	2.481	1000
37.55	2.395	197
43.22	2.093	225

Q: Which formula does entry 3 have?
A: Tm8Ni2Te